1.
# Pm2TaS6
Simulated XRD peak list, Cu Kα (weighted mean of Kα1 and Kα2). Input: a crystal structure in Alexandria, relaxed with GGA-PBE.

Principal peaks in the range 2θ = 10–90°, sorted by position:
15.7 deg, I = 100; 17.8 deg, I = 62; 20.9 deg, I = 46; 21.5 deg, I = 44; 26.2 deg, I = 48; 27.1 deg, I = 73; 28.1 deg, I = 85; 28.5 deg, I = 52; 32.3 deg, I = 62; 39.4 deg, I = 95

a = 6.2755 Å, b = 7.3722 Å, c = 10.5490 Å
α = 90.00°, β = 123.80°, γ = 90.00°
Sites, in units of the cell vectors:
1 Pm 0.2117 0.1152 0.2485
2 Pm 0.2117 0.3848 0.7485
3 Pm 0.7883 0.6152 0.2515
4 Pm 0.7883 0.8848 0.7515
5 Ta 0.5000 0.0000 0.0000
6 Ta 0.5000 0.5000 0.5000
7 S 0.1172 0.1664 0.9434
8 S 0.1172 0.3336 0.4434
9 S 0.2905 0.7010 0.9449
10 S 0.2905 0.7990 0.4449
11 S 0.3520 0.0260 0.7337
12 S 0.3520 0.4740 0.2337
13 S 0.6480 0.5260 0.7663
14 S 0.6480 0.9740 0.2663
15 S 0.7095 0.2010 0.5551
16 S 0.7095 0.2990 0.0551
17 S 0.8828 0.6664 0.5566
18 S 0.8828 0.8336 0.0566

2.
# Tb5PmY4
Simulated XRD peak list, Cu Kα (weighted mean of Kα1 and Kα2). Input: a crystal structure in Alexandria, relaxed with GGA-PBE.

Principal peaks in the range 2θ = 10–90°, sorted by position:
28.3 deg, I = 24; 31.4 deg, I = 24; 32.4 deg, I = 100; 42.7 deg, I = 16; 50.1 deg, I = 20; 56.5 deg, I = 20; 60.3 deg, I = 22; 60.9 deg, I = 16; 82.7 deg, I = 7; 86.7 deg, I = 7

a = 6.3069 Å, b = 6.7648 Å, c = 9.2555 Å
α = 107.83°, β = 90.04°, γ = 117.77°
Sites, in units of the cell vectors:
1 Tb 0.0000 0.0000 0.0000
2 Tb 0.0616 0.8023 0.3002
3 Tb 0.3977 0.8022 0.7993
4 Tb 0.6643 0.0016 0.4991
5 Tb 0.7945 0.6012 0.6000
6 Pm 0.2646 0.1996 0.6985
7 Y 0.1957 0.4031 0.3983
8 Y 0.4649 0.6025 0.0995
9 Y 0.5976 0.2009 0.2001
10 Y 0.8671 0.4017 0.9012

3.
# LiTcSb2O8
Simulated XRD peak list, Cu Kα (weighted mean of Kα1 and Kα2). Input: a crystal structure in Alexandria, relaxed with GGA-PBE.

Principal peaks in the range 2θ = 10–90°, sorted by position:
18.8 deg, I = 46; 23.6 deg, I = 35; 26.4 deg, I = 72; 27.0 deg, I = 68; 34.4 deg, I = 100; 38.1 deg, I = 24; 39.3 deg, I = 23; 52.0 deg, I = 47; 52.6 deg, I = 44; 66.6 deg, I = 28

a = 4.7203 Å, b = 4.7203 Å, c = 6.2480 Å
α = 90.00°, β = 90.00°, γ = 91.12°
Sites, in units of the cell vectors:
1 Li 0.0000 0.0000 0.0000
2 Tc 0.0000 0.0000 0.5000
3 Sb 0.5000 0.5000 0.2430
4 Sb 0.5000 0.5000 0.7570
5 O 0.1987 0.1987 0.2707
6 O 0.1987 0.1987 0.7293
7 O 0.3016 0.6984 0.5000
8 O 0.3068 0.6932 0.0000
9 O 0.6932 0.3068 0.0000
10 O 0.6984 0.3016 0.5000
11 O 0.8013 0.8013 0.2707
12 O 0.8013 0.8013 0.7293

4.
# CdSbTe2S
Simulated XRD peak list, Cu Kα (weighted mean of Kα1 and Kα2). Input: a crystal structure in Alexandria, relaxed with GGA-PBE.

Principal peaks in the range 2θ = 10–90°, sorted by position:
29.2 deg, I = 100; 33.7 deg, I = 23; 34.0 deg, I = 44; 48.6 deg, I = 32; 48.8 deg, I = 16; 57.6 deg, I = 15; 57.9 deg, I = 29; 60.6 deg, I = 16; 78.8 deg, I = 11; 81.0 deg, I = 7

a = 5.2800 Å, b = 5.2800 Å, c = 5.3134 Å
α = 90.00°, β = 90.00°, γ = 90.00°
Sites, in units of the cell vectors:
1 Cd 0.0000 0.0000 0.0000
2 Sb 0.5000 0.5000 0.0000
3 Te 0.0000 0.5000 0.5000
4 Te 0.5000 0.0000 0.5000
5 S 0.5000 0.5000 0.5000